Entry 1:
Computed powder X-ray diffraction pattern of Ca3Ac4Pr for Cu Ka, from a cell relaxed with PBE.

Top 12 peaks for 2θ = 10–90°, sorted by position:
2θ (°), I_rel, h k l
16.0, 17, 0 1 1
17.9, 14, 1 1 1
22.7, 16, 2 1 1
27.9, 100, 2 0 2
32.4, 51, 4 0 0
36.3, 10, 4 1 1
46.4, 38, 0 0 4
55.0, 38, 6 0 2
57.7, 13, 4 0 4
74.7, 9, 2 0 6
74.8, 9, 6 4 2
77.0, 11, 0 2 6

Structural model:
```
data_Ca3Ac4Pr
_cell_length_a 11.0560
_cell_length_b 7.8254
_cell_length_c 7.8361
_cell_angle_alpha 90.00
_cell_angle_beta 90.00
_cell_angle_gamma 90.00
_space_group_name_H-M_alt 'P m n 21'
_space_group_IT_number 31
loop_
_space_group_symop_operation_xyz
'x,y,z'
'-x+1/2,-y,z+1/2'
'-x,y,z'
'x+1/2,-y,z+1/2'
loop_
_atom_site_label
_atom_site_type_symbol
_atom_site_fract_x
_atom_site_fract_y
_atom_site_fract_z
_atom_site_occupancy
Ca1 Ca 0.0000 0.0001 0.0000 1
Ca2 Ca 0.2500 0.2496 0.2501 1
Ac1 Ac 0.0000 0.0005 0.5006 1
Ac2 Ac 0.0000 0.4993 0.9996 1
Ac3 Ac 0.2492 0.7412 0.2500 1
Pr1 Pr 0.0000 0.4999 0.5007 1
```

---

Entry 2:
Computed powder X-ray diffraction pattern of MnBe2Hg for Cu Ka, from a cell relaxed with PBE.

Top 12 peaks for 2θ = 10–90°, sorted by position:
2θ (°), I_rel, h k l
19.4, 62, 0 0 2
23.7, 34, 1 0 0
30.8, 100, 1 0 2
31.8, 53, 0 1 1
39.4, 22, 0 0 4
40.1, 93, 1 1 1
42.6, 48, 0 1 3
46.5, 25, 1 0 4
49.3, 25, 1 1 3
59.2, 19, 2 1 1
64.9, 26, 1 1 5
66.5, 25, 2 1 3

Structural model:
```
data_MnBe2Hg
_cell_length_a 3.7479
_cell_length_b 2.9589
_cell_length_c 9.1498
_cell_angle_alpha 90.00
_cell_angle_beta 90.00
_cell_angle_gamma 90.00
_space_group_name_H-M_alt 'A m m 2'
_space_group_IT_number 38
loop_
_space_group_symop_operation_xyz
'x,y,z'
'-x,-y,z'
'-x,y,z'
'x,-y,z'
'x,y+1/2,z+1/2'
'-x,-y+1/2,z+1/2'
'-x,y+1/2,z+1/2'
'x,-y+1/2,z+1/2'
loop_
_atom_site_label
_atom_site_type_symbol
_atom_site_fract_x
_atom_site_fract_y
_atom_site_fract_z
_atom_site_occupancy
Mn1 Mn 0.0000 0.0000 0.0000 1
Be1 Be 0.0000 0.0000 0.7058 1
Be2 Be 0.5000 0.0000 0.5730 1
Hg1 Hg 0.5000 0.0000 0.3052 1
```

---

Entry 3:
Computed powder X-ray diffraction pattern of Li2Sm3Si4 for Cu Ka, from a cell relaxed with PBE.

Top 12 peaks for 2θ = 10–90°, sorted by position:
2θ (°), I_rel, h k l
22.6, 18, 2 0 1
24.3, 64, 1 1 -1
33.5, 100, 1 1 2
42.8, 21, 3 1 -3
42.8, 11, 0 2 0
49.0, 14, 2 2 1
49.8, 9, 2 2 -2
52.9, 13, 3 1 3
55.4, 11, 4 2 -1
55.4, 12, 0 2 3
64.8, 12, 1 1 5
72.5, 14, 1 3 2

Structural model:
```
data_Li2Sm3Si4
_cell_length_a 10.7554
_cell_length_b 4.2220
_cell_length_c 8.3026
_cell_angle_alpha 90.00
_cell_angle_beta 104.79
_cell_angle_gamma 90.00
_space_group_name_H-M_alt 'C 1 2/m 1'
_space_group_IT_number 12
loop_
_space_group_symop_operation_xyz
'x,y,z'
'-x,-y,-z'
'-x,y,-z'
'x,-y,z'
'x+1/2,y+1/2,z'
'-x+1/2,-y+1/2,-z'
'-x+1/2,y+1/2,-z'
'x+1/2,-y+1/2,z'
loop_
_atom_site_label
_atom_site_type_symbol
_atom_site_fract_x
_atom_site_fract_y
_atom_site_fract_z
_atom_site_occupancy
Li1 Li 0.1287 0.0000 0.2964 1
Sm1 Sm 0.0000 0.5000 0.0000 1
Sm2 Sm 0.1566 0.0000 0.6733 1
Si1 Si 0.0618 0.5000 0.3968 1
Si2 Si 0.2164 0.0000 0.0510 1
```

---

Entry 4:
Computed powder X-ray diffraction pattern of PrCdSe2 for Cu Ka, from a cell relaxed with PBE.

Top 12 peaks for 2θ = 10–90°, sorted by position:
2θ (°), I_rel, h k l
10.2, 21, 0 0 3
24.0, 12, 0 1 1
24.7, 100, 1 0 2
27.5, 12, 0 1 4
29.4, 25, 1 0 5
36.6, 44, 1 0 8
41.7, 54, 1 1 0
42.3, 45, 0 1 10
49.1, 15, 0 2 2
60.5, 12, 1 1 12
60.9, 15, 2 0 10
76.6, 15, 1 2 10

Structural model:
```
data_PrCdSe2
_cell_length_a 4.3320
_cell_length_b 4.3320
_cell_length_c 25.9558
_cell_angle_alpha 90.00
_cell_angle_beta 90.00
_cell_angle_gamma 120.00
_space_group_name_H-M_alt 'P 32 2 1'
_space_group_IT_number 154
loop_
_space_group_symop_operation_xyz
'x,y,z'
'-y,x-y,z+2/3'
'-x+y,-x,z+1/3'
'y,x,-z'
'x-y,-y,-z+1/3'
'-x,-x+y,-z+2/3'
loop_
_atom_site_label
_atom_site_type_symbol
_atom_site_fract_x
_atom_site_fract_y
_atom_site_fract_z
_atom_site_occupancy
Pr1 Pr 0.0000 0.3292 0.3333 1
Cd1 Cd 0.0000 0.3355 0.8333 1
Se1 Se 0.0042 0.3374 0.9370 1
```

---

Entry 5:
Computed powder X-ray diffraction pattern of Tb7Pm3Th2 for Cu Ka, from a cell relaxed with PBE.

Top 12 peaks for 2θ = 10–90°, sorted by position:
2θ (°), I_rel, h k l
29.9, 44, 1 1 1
30.4, 90, 0 0 7
31.2, 100, 1 1 -3
31.4, 34, 1 0 4
31.6, 89, 0 2 0
33.0, 97, 1 1 3
34.3, 55, 0 1 -7
44.4, 26, 0 2 7
45.2, 25, 1 2 4
56.0, 41, 1 2 -9
59.8, 45, 2 0 6
60.5, 31, 2 2 -1

Structural model:
```
data_Tb7Pm3Th2
_cell_length_a 3.6380
_cell_length_b 5.6574
_cell_length_c 20.6833
_cell_angle_alpha 90.06
_cell_angle_beta 95.02
_cell_angle_gamma 90.00
_space_group_name_H-M_alt 'P -1'
_space_group_IT_number 2
loop_
_space_group_symop_operation_xyz
'x,y,z'
'-x,-y,-z'
loop_
_atom_site_label
_atom_site_type_symbol
_atom_site_fract_x
_atom_site_fract_y
_atom_site_fract_z
_atom_site_occupancy
Tb1 Tb 0.0000 0.0000 0.0000 1
Tb2 Tb 0.0666 0.4993 0.1339 1
Tb3 Tb 0.2848 0.4997 0.5701 1
Tb4 Tb 0.4160 0.0005 0.8313 1
Pm1 Pm 0.1704 0.0001 0.3416 1
Pm2 Pm 0.5000 0.5000 0.0000 1
Th1 Th 0.3630 0.5002 0.7247 1
```

---

Entry 6:
Computed powder X-ray diffraction pattern of La4Cl3O4 for Cu Ka, from a cell relaxed with PBE.

Top 12 peaks for 2θ = 10–90°, sorted by position:
2θ (°), I_rel, h k l
25.3, 98, 0 2 2
25.8, 28, 0 0 4
26.1, 24, 1 1 0
30.8, 45, 1 0 3
33.0, 100, 1 2 1
34.3, 26, 0 1 5
37.1, 33, 1 1 4
43.0, 24, 1 3 2
46.5, 49, 1 2 5
54.8, 25, 1 4 3
55.5, 23, 2 2 2
70.2, 23, 1 2 9

Structural model:
```
data_La4Cl3O4
_cell_length_a 3.7492
_cell_length_b 8.2064
_cell_length_c 13.7885
_cell_angle_alpha 90.00
_cell_angle_beta 90.00
_cell_angle_gamma 90.00
_space_group_name_H-M_alt 'I m m m'
_space_group_IT_number 71
_space_group_name_Hall '-I 2 2'
loop_
_atom_site_label
_atom_site_type_symbol
_atom_site_fract_x
_atom_site_fract_y
_atom_site_fract_z
_atom_site_occupancy
La1 La 0.0000 0.0000 0.2114 1
La2 La 0.0000 0.2357 0.5000 1
Cl1 Cl 0.0000 0.0000 0.0000 1
Cl2 Cl 0.0000 0.5000 0.1109 1
O1 O 0.0000 0.3270 0.3428 1
```

---

Entry 7:
Computed powder X-ray diffraction pattern of NaLiBiPb for Cu Ka, from a cell relaxed with PBE.

Top 12 peaks for 2θ = 10–90°, sorted by position:
2θ (°), I_rel, h k l
20.2, 100, 1 0 1
30.8, 49, 2 0 0
34.6, 73, 1 1 2
37.1, 45, 2 1 1
43.4, 15, 1 0 3
44.0, 19, 2 2 0
48.9, 11, 3 0 1
54.2, 16, 2 1 3
57.2, 35, 3 1 2
58.9, 12, 3 2 1
64.2, 12, 2 0 4
72.7, 9, 4 2 0

Structural model:
```
data_NaLiBiPb
_cell_length_a 5.8147
_cell_length_b 5.8147
_cell_length_c 6.6929
_cell_angle_alpha 90.00
_cell_angle_beta 90.00
_cell_angle_gamma 90.00
_space_group_name_H-M_alt 'I -4 m 2'
_space_group_IT_number 119
_space_group_name_Hall 'I -4 -2'
loop_
_atom_site_label
_atom_site_type_symbol
_atom_site_fract_x
_atom_site_fract_y
_atom_site_fract_z
_atom_site_occupancy
Na1 Na 0.0000 0.0000 0.0000 1
Li1 Li 0.0000 0.5000 0.2500 1
Bi1 Bi 0.0000 0.0000 0.5000 1
Pb1 Pb 0.0000 0.5000 0.7500 1
```

---

What is the formula in the fifth record?
Tb7Pm3Th2